(1)
# TmMoF6
Calculated PXRD pattern, Cu Kα (λ = 1.5418 Å). Input: a DFT-relaxed cell (PBE+U, Alexandria).
Intensities are scaled so that the largest is 100.

Main lines, most intense first (2θ from 5° to 70°):
20.13 deg, I 100; 20.71 deg, I 46; 40.05 deg, I 27; 36.73 deg, I 19; 32.37 deg, I 16; 44.33 deg, I 14; 52.60 deg, I 13; 45.50 deg, I 13; 35.94 deg, I 13; 40.92 deg, I 12; 50.49 deg, I 11; 63.26 deg, I 8

Structural model:
Cell: 5.319 8.576 6.164 Å, 90.00 104.79 90.00°
Sites, in units of the cell vectors:
Tm (0.000, 0.000, 0.000)
Tm (0.500, 0.500, 0.000)
Mo (0.000, 0.000, 0.500)
Mo (0.500, 0.500, 0.500)
F (0.154, 0.150, 0.778)
F (0.154, 0.850, 0.778)
F (0.212, 0.500, 0.682)
F (0.288, 0.000, 0.318)
F (0.346, 0.350, 0.222)
F (0.346, 0.650, 0.222)
F (0.654, 0.350, 0.778)
F (0.654, 0.650, 0.778)
F (0.712, 0.000, 0.682)
F (0.788, 0.500, 0.318)
F (0.846, 0.150, 0.222)
F (0.846, 0.850, 0.222)

***

(2)
# TmMo2F11
Calculated PXRD pattern, Cu Kα (λ = 1.5418 Å). Input: a DFT-relaxed cell (PBE+U, Alexandria).
Intensities are scaled so that the largest is 100.

Main lines, most intense first (2θ from 5° to 70°):
22.34 deg, I 100; 24.79 deg, I 58; 14.65 deg, I 33; 26.30 deg, I 32; 51.11 deg, I 31; 48.34 deg, I 29; 45.73 deg, I 26; 23.13 deg, I 25; 50.51 deg, I 23; 29.74 deg, I 18; 45.60 deg, I 18; 28.72 deg, I 15

Structural model:
Cell: 8.165 8.165 8.165 Å, 123.84 106.32 99.33°
Sites, in units of the cell vectors:
Tm (0.250, 0.250, 0.000)
Tm (0.750, 0.750, 0.000)
Mo (0.182, 0.642, 0.824)
Mo (0.318, 0.142, 0.461)
Mo (0.682, 0.858, 0.539)
Mo (0.818, 0.358, 0.176)
F (0.000, 0.500, 0.500)
F (0.041, 0.954, 0.275)
F (0.063, 0.364, 0.160)
F (0.178, 0.454, 0.913)
F (0.204, 0.903, 0.840)
F (0.215, 0.369, 0.583)
F (0.285, 0.869, 0.154)
F (0.296, 0.136, 0.699)
F (0.322, 0.235, 0.275)
F (0.437, 0.597, 0.301)
F (0.459, 0.735, 0.913)
F (0.500, 0.000, 0.500)
F (0.541, 0.265, 0.087)
F (0.563, 0.403, 0.699)
F (0.678, 0.765, 0.725)
F (0.704, 0.864, 0.301)
F (0.715, 0.131, 0.846)
F (0.785, 0.631, 0.417)
F (0.796, 0.097, 0.160)
F (0.822, 0.546, 0.087)
F (0.937, 0.636, 0.840)
F (0.959, 0.046, 0.725)

***

(3)
# ZnMoF6
Calculated PXRD pattern, Cu Kα (λ = 1.5418 Å). Input: a DFT-relaxed cell (PBE+U, Alexandria).
Intensities are scaled so that the largest is 100.

Main lines, most intense first (2θ from 5° to 70°):
27.17 deg, I 100; 21.97 deg, I 46; 51.77 deg, I 43; 19.96 deg, I 31; 44.80 deg, I 25; 58.04 deg, I 23; 39.68 deg, I 19; 34.93 deg, I 18; 62.64 deg, I 16; 60.82 deg, I 10; 34.22 deg, I 9; 49.71 deg, I 6

Structural model:
Cell: 5.137 5.137 9.725 Å, 90.00 90.00 120.00°
Sites, in units of the cell vectors:
Zn (0.333, 0.667, 0.250)
Zn (0.667, 0.333, 0.750)
Mo (0.000, 0.000, 0.000)
Mo (0.000, 0.000, 0.500)
F (0.032, 0.327, 0.123)
F (0.032, 0.704, 0.377)
F (0.296, 0.327, 0.377)
F (0.296, 0.968, 0.123)
F (0.327, 0.032, 0.623)
F (0.327, 0.296, 0.877)
F (0.673, 0.704, 0.123)
F (0.673, 0.968, 0.377)
F (0.704, 0.032, 0.877)
F (0.704, 0.673, 0.623)
F (0.968, 0.296, 0.623)
F (0.968, 0.673, 0.877)